Structure and simulated X-ray diffraction stick pattern of Dy2Pd6Pt (a crystal structure in Alexandria, relaxed with GGA-PBE; Cu Ka).
No peak broadening, texture or thermal motion is included.

Principal peaks in the range 10° ≤ 2θ ≤ 90°, in order of rising 2θ:
- 37.80°, 2.380 Å, rel. 100
- 42.28°, 2.138 Å, rel. 17
- 42.76°, 2.115 Å, rel. 18
- 46.65°, 1.947 Å, rel. 14
- 61.70°, 1.503 Å, rel. 11
- 74.34°, 1.276 Å, rel. 10
- 75.01°, 1.266 Å, rel. 13
- 80.62°, 1.192 Å, rel. 11

Structural model:
```
Dy2Pd6Pt
1.0
0.0000 5.8410 6.4127
2.1148 0.0000 6.4127
2.1148 5.8410 0.0000
Dy Pd Pt
2 6 1
direct
0.1482 0.1482 0.8518
0.8518 0.8518 0.1482
0.1631 0.4978 0.5022
0.1755 0.8245 0.1755
0.4978 0.1631 0.8369
0.5022 0.8369 0.1631
0.8245 0.1755 0.8245
0.8369 0.5022 0.4978
0.5000 0.5000 0.5000
```